Starting from a cell relaxed with PBE, the X-ray diffraction stick pattern of LiMnTc was computed for Cu Kα X-rays.
Peak positions follow from Bragg's law for the DFT cell and can differ from measured ones.

Cell and atoms:
```
LiMnTc
1.0
2.6542 0.0000 0.0000
-1.3271 2.2986 0.0000
0.0000 0.0000 6.6524
Li Mn Tc
1 1 1
direct
0.0000 0.0000 0.0000
0.6667 0.3333 0.3416
0.3333 0.6667 0.6335
```

The 6 most intense peaks (2θ = 15–90°), by angle:
- 2θ = 39.19°, d 2.299, I = 27
- 2θ = 40.69°, d 2.217, I = 26
- 2θ = 41.57°, d 2.173, I = 100
- 2θ = 48.12°, d 1.891, I = 77
- 2θ = 57.77°, d 1.596, I = 21
- 2θ = 85.22°, d 1.139, I = 17